No. 1
CdCu2S2O8: theoretical X-ray diffraction stick pattern (Cu Kα), based on the PBE geometry in Alexandria.
Lines closer than 0.1° are merged.

Peak list (10 most intense, 10° ≤ 2θ ≤ 90°, by intensity)
2θ (°), intensity, index
17.83, 100.0, 1 1 -1
22.88, 63.8, 0 0 2
21.00, 55.4, 1 1 0
28.86, 49.3, 1 1 1
29.44, 35.6, 1 1 -3
33.82, 34.1, 0 3 1
29.03, 31.2, 2 0 -2
28.21, 19.4, 1 2 -2
45.36, 18.2, 2 3 -3
47.66, 16.6, 0 3 3

Cell and atoms:
Unit cell a=6.1536 b=8.4588 c=9.7960 alpha=90.00 beta=127.47 gamma=90.00
Sites, in units of the cell vectors:
Cd1 0.0000 0.0000 0.0000
Cd2 0.0000 0.5000 0.5000
Cu1 0.3972 0.1508 0.4772
Cu2 0.3972 0.3492 0.9772
Cu3 0.6028 0.6508 0.0228
Cu4 0.6028 0.8492 0.5228
S1 0.1049 0.1718 0.6391
S2 0.1049 0.3282 0.1391
S3 0.8951 0.6718 0.8609
S4 0.8951 0.8282 0.3609
O1 0.1098 0.7018 0.4078
O2 0.1098 0.7982 0.9078
O3 0.2511 0.2341 0.0716
O4 0.2511 0.2659 0.5716
O5 0.3087 0.1689 0.8354
O6 0.3087 0.3311 0.3354
O7 0.4825 0.0132 0.3729
O8 0.4825 0.4868 0.8729
O9 0.5175 0.5132 0.1271
O10 0.5175 0.9868 0.6271
O11 0.6913 0.6689 0.6646
O12 0.6913 0.8311 0.1646
O13 0.7489 0.7341 0.4284
O14 0.7489 0.7659 0.9284
O15 0.8902 0.2018 0.0922
O16 0.8902 0.2982 0.5922

No. 2
Tb2CdCuO5: theoretical X-ray diffraction stick pattern (Cu Kα), based on the PBE geometry in Alexandria.
Lines closer than 0.1° are merged.

Peak list (10 most intense, 10° ≤ 2θ ≤ 90°, by intensity)
2θ (°), intensity, index
31.87, 100.0, 0 0 2
34.84, 50.8, 2 1 1
44.94, 35.6, 2 1 2
30.87, 20.5, 2 1 0
15.76, 17.3, 0 0 1
58.71, 16.8, 4 1 0
39.34, 15.3, 2 2 0
44.22, 14.3, 3 1 0
56.76, 13.5, 2 0 3
51.47, 13.0, 2 2 2

Cell and atoms:
Unit cell a=6.4772 b=6.4772 c=5.6215 alpha=90.00 beta=90.00 gamma=90.00
Sites, in units of the cell vectors:
Tb1 0.1720 0.3280 0.0000
Tb2 0.3280 0.8280 0.0000
Tb3 0.6720 0.1720 0.0000
Tb4 0.8280 0.6720 0.0000
Cd1 0.0000 0.0000 0.5000
Cd2 0.5000 0.5000 0.5000
Cu1 0.0000 0.5000 0.5000
Cu2 0.5000 0.0000 0.5000
O1 0.0000 0.0000 0.0000
O2 0.1435 0.6435 0.2551
O3 0.1435 0.6435 0.7449
O4 0.3565 0.1435 0.2551
O5 0.3565 0.1435 0.7449
O6 0.5000 0.5000 0.0000
O7 0.6435 0.8565 0.2551
O8 0.6435 0.8565 0.7449
O9 0.8565 0.3565 0.2551
O10 0.8565 0.3565 0.7449